For TlS5F, a DFT-relaxed cell (GGA-PBE, Alexandria) gives the simulated X-ray diffraction stick pattern in this record (Cu Ka).
Lines closer than 0.1° are merged.

Top 12 peaks for 2θ from 10° to 90°, by intensity:
- 4.251 Å, 20.90 deg, intensity 100
- 8.270 Å, 10.70 deg, intensity 54
- 6.189 Å, 14.31 deg, intensity 35
- 4.193 Å, 21.19 deg, intensity 33
- 2.866 Å, 31.21 deg, intensity 32
- 3.337 Å, 26.71 deg, intensity 30
- 3.408 Å, 26.15 deg, intensity 24
- 3.095 Å, 28.85 deg, intensity 20
- 3.120 Å, 28.61 deg, intensity 20
- 3.977 Å, 22.35 deg, intensity 19
- 2.964 Å, 30.15 deg, intensity 19
- 2.573 Å, 34.86 deg, intensity 16

Structural model:
```
14
Lattice="7.395 0.000 0.000 0.000 16.541 0.000 -1.898 0.000 3.977" Properties=species:S:1:pos:R:3 pbc="T T T"
Tl 0.000 0.000 0.000
Tl 3.698 8.270 0.000
S -0.949 10.304 1.989
S -0.401 6.321 0.865
S -0.928 11.574 3.628
S 2.728 3.303 0.349
S 2.201 14.591 3.112
S 2.749 2.034 1.989
S 3.297 14.591 0.865
S 2.770 3.303 3.628
S 6.425 11.574 0.349
S 5.898 6.321 3.112
F -0.949 15.467 1.989
F 2.749 7.196 1.989
```